# 1
Computed PXRD pattern of PmSc2Zn3 for a wavelength of 1.5418 Å, from a crystal structure in Alexandria, relaxed with PBE.
No peak broadening, texture or thermal motion is included.

Structure:
```
data_PmSc2Zn3
_chemical_formula_sum 'Pm1 Sc2 Zn3'
_symmetry_space_group_name_H-M 'P 4/m m m'
_symmetry_Int_Tables_number 123
_symmetry_space_group_name_Hall '-P 4 2'
_cell_length_a 3.444
_cell_length_b 3.444
_cell_length_c 10.423
_cell_angle_alpha 90.00
_cell_angle_beta 90.00
_cell_angle_gamma 90.00
loop_
_atom_site_label
_atom_site_type_symbol
_atom_site_fract_x
_atom_site_fract_y
_atom_site_fract_z
Pm1 Pm 0.000 0.000 0.000
Sc1 Sc 0.000 0.000 0.343
Zn1 Zn 0.500 0.500 0.196
Zn2 Zn 0.500 0.500 0.500
```

Principal peaks in the range 10° ≤ 2θ ≤ 90°, by intensity:
index  two_theta  I_rel
1 0 3  36.75  100.0
1 1 0  36.91  54.6
2 1 3  66.40  32.8
1 0 2  31.13  19.3
2 0 0  53.19  18.3
1 0 1  27.27  17.3
1 1 6  66.07  12.4
2 2 0  78.54  7.9
2 0 6  78.16  7.5
1 1 4  51.36  7.3
0 0 6  52.69  6.3
0 0 4  34.42  5.6


# 2
Computed PXRD pattern of PmZr5Sc12 for a wavelength of 1.5418 Å, from a crystal structure in Alexandria, relaxed with PBE.
No peak broadening, texture or thermal motion is included.

Structure:
```
data_PmZr5Sc12
_chemical_formula_sum 'Pm2 Zr10 Sc24'
_symmetry_space_group_name_H-M 'C 1 2/m 1'
_symmetry_Int_Tables_number 12
_cell_length_a 5.655
_cell_length_b 9.797
_cell_length_c 15.913
_cell_angle_alpha 90.00
_cell_angle_beta 96.79
_cell_angle_gamma 90.00
loop_
_symmetry_equiv_pos_as_xyz
'x,y,z'
'-x,-y,-z'
'-x,y,-z'
'x,-y,z'
'x+1/2,y+1/2,z'
'-x+1/2,-y+1/2,-z'
'-x+1/2,y+1/2,-z'
'x+1/2,-y+1/2,z'
loop_
_atom_site_label
_atom_site_type_symbol
_atom_site_fract_x
_atom_site_fract_y
_atom_site_fract_z
Pm1 Pm 0.000 0.000 0.000
Zr1 Zr 0.000 0.167 0.500
Zr2 Zr 0.000 0.333 0.000
Zr3 Zr 0.000 0.500 0.500
Sc1 Sc 0.103 0.500 0.831
Sc2 Sc 0.113 0.170 0.831
Sc3 Sc 0.219 0.333 0.660
Sc4 Sc 0.220 0.000 0.660
```

Principal peaks in the range 10° ≤ 2θ ≤ 90°, by intensity:
index  two_theta  I_rel
1 3 3  37.02  100.0
1 3 -3  35.16  96.5
0 0 2  11.20  85.8
0 0 6  34.04  66.7
2 0 -2  32.55  54.0
0 6 6  67.50  48.7
2 0 1  33.06  46.1
0 6 0  56.35  44.0
2 0 0  31.87  30.9
1 3 9  64.11  21.4
2 0 -5  40.36  20.8
1 3 -5  41.61  20.3


# 3
Computed PXRD pattern of PmZr6Sc12 for a wavelength of 1.5418 Å, from a crystal structure in Alexandria, relaxed with PBE.
No peak broadening, texture or thermal motion is included.

Structure:
```
data_PmZr6Sc12
_chemical_formula_sum 'Pm3 Zr18 Sc36'
_symmetry_space_group_name_H-M 'R -3 m'
_symmetry_Int_Tables_number 166
_symmetry_space_group_name_Hall '-R 3 2"'
_cell_length_a 12.5524
_cell_length_b 12.5524
_cell_length_c 10.8364
_cell_angle_alpha 90.00
_cell_angle_beta 90.00
_cell_angle_gamma 120.00
loop_
_atom_site_label
_atom_site_type_symbol
_atom_site_fract_x
_atom_site_fract_y
_atom_site_fract_z
Pm1 Pm 0.0000 0.0000 0.0000
Zr1 Zr 0.0015 0.5008 0.7332
Sc1 Sc 0.0000 0.3860 0.5000
Sc2 Sc 0.0947 0.1894 0.3523
```

Principal peaks in the range 10° ≤ 2θ ≤ 90°, by intensity:
index  two_theta  I_rel
0 2 4  37.05  100.0
2 2 0  28.46  85.3
1 3 1  30.78  68.6
3 1 2  34.04  47.3
4 0 4  47.34  42.5
0 1 2  18.29  26.2
1 2 2  27.24  25.7
5 0 2  44.92  24.5
2 3 2  39.79  24.2
2 0 2  23.17  21.7
2 2 3  37.97  20.8
0 7 2  62.19  20.4